Structure and calculated powder diffractogram of LiMg2Al2Pd5 (a crystal structure in Alexandria, relaxed with PBE; Cu Ka).
Lines closer than 0.1° are merged.

The 10 most intense peaks (2θ from 10° to 80°), by intensity:
h k l	2θ (°)	I/Imax
3 1 1	39.46	100
0 0 1	26.10	60
4 1 0	38.22	49
3 2 1	42.77	46
3 1 0	29.09	40
4 1 1	46.86	36
2 1 0	20.45	26
3 2 0	33.27	25
6 2 1	66.82	21
5 5 1	74.48	20

Crystal structure
a = 9.709 Å, b = 9.709 Å, c = 3.414 Å
α = 90.00°, β = 90.00°, γ = 90.00°
Space group P4/mbm (No. 127)
One atom of each set of equivalent atoms:
Li1 0.000 0.000 0.000
Mg1 0.170 0.330 0.000
Al1 0.132 0.632 0.000
Pd1 0.000 0.500 0.500
Pd2 0.075 0.804 0.500

=====

Structure and calculated powder diffractogram of LiMgAl2S4 (a crystal structure in Alexandria, relaxed with PBE; Cu Ka).
Lines closer than 0.1° are merged.

The 10 most intense peaks (2θ from 10° to 80°), by intensity:
h k l	2θ (°)	I/Imax
2 0 2	29.16	100
0 2 2	26.92	88
2 2 4	47.05	71
2 4 2	52.65	33
0 4 0	42.83	26
4 2 2	56.52	18
4 0 0	48.70	17
0 2 6	56.10	16
4 4 0	66.83	13
0 0 2	16.61	12

Crystal structure
a = 7.480 Å, b = 8.446 Å, c = 10.673 Å
α = 90.00°, β = 90.00°, γ = 90.00°
Space group Fmm2 (No. 42)
One atom of each set of equivalent atoms:
Li1 0.000 0.000 0.000
Mg1 0.000 0.000 0.503
Al1 0.250 0.250 0.243
S1 0.000 0.249 0.377
S2 0.246 0.000 0.147